Structure and theoretical X-ray powder pattern of Tm4MnGa12 (a structure optimized by DFT (PBE); Cu Kα, 1.54184 Å).
Neutral-atom scattering factors, no anomalous dispersion.

Crystal structure
Lattice parameters (Å, degrees): 8.5461 8.5461 8.5461 90.00 90.00 90.00
Space group Im-3m (No. 229)
Asymmetric unit:
Tm  0.2500  0.2500  0.2500 (multiplicity 8)
Mn  0.0000  0.0000  0.0000 (multiplicity 2)
Ga  0.0000  0.0000  0.2874 (multiplicity 12)
Ga  0.0000  0.2500  0.5000 (multiplicity 12)

Principal peaks in the range 2θ = 15–90°, most intense first:
(2 2 2), 2θ 36.42, intensity 100; (4 0 0), 2θ 42.30, intensity 56; (4 4 0), 2θ 61.37, intensity 34; (6 2 2), 2θ 73.51, intensity 32; (2 2 0), 2θ 29.56, intensity 27; (2 0 0), 2θ 20.79, intensity 13; (4 4 4), 2θ 77.36, intensity 10; (4 2 0), 2θ 47.58, intensity 9; (4 2 2), 2θ 52.45, intensity 8; (6 2 0), 2θ 69.57, intensity 7

***

Structure and theoretical X-ray powder pattern of La12Nd2Ho5 (a structure optimized by DFT (PBE); Cu Kα, 1.54184 Å).
Neutral-atom scattering factors, no anomalous dispersion.

Crystal structure
Lattice parameters (Å, degrees): 13.3502 11.8849 9.5791 90.00 116.96 90.00
Space group C2/m (No. 12)
Asymmetric unit:
La  0.0647  0.0000  0.2726 (multiplicity 4)
La  0.1010  0.5000  0.4232 (multiplicity 4)
La  0.1048  0.2397  0.9071 (multiplicity 8)
La  0.2126  0.2401  0.3108 (multiplicity 8)
Nd  0.0000  0.2134  0.5000 (multiplicity 4)
Ho  0.0000  0.5000  0.0000 (multiplicity 2)
Ho  0.1963  0.0000  0.7335 (multiplicity 4)
Ho  0.2163  0.5000  0.8609 (multiplicity 4)

Principal peaks in the range 2θ = 15–90°, most intense first:
(4 2 -1), 2θ 30.87, intensity 100; (0 4 0), 2θ 30.08, intensity 40; (2 2 -3), 2θ 31.83, intensity 39; (3 1 -3), 2θ 30.15, intensity 20; (1 3 2), 2θ 33.96, intensity 17; (1 1 2), 2θ 26.27, intensity 16; (2 4 2), 2θ 43.60, intensity 15; (4 6 -1), 2θ 53.92, intensity 13; (6 2 1), 2θ 54.25, intensity 10; (3 5 -3), 2θ 48.48, intensity 8